Np6AlS12: simulated powder diffractogram (Cu Ka), based on the PBE geometry in Alexandria.
Peak positions follow from Bragg's law for the DFT cell and can differ from measured ones.

Peak list (12 most intense, 2θ from 10° to 90°, by angle)
15.03 deg, d = 5.893 Å, rel. 28.8
24.49 deg, d = 3.635 Å, rel. 100.0
24.60 deg, d = 3.618 Å, rel. 33.0
28.38 deg, d = 3.144 Å, rel. 35.9
28.96 deg, d = 3.083 Å, rel. 15.8
32.69 deg, d = 2.739 Å, rel. 16.3
40.50 deg, d = 2.227 Å, rel. 32.4
40.65 deg, d = 2.220 Å, rel. 33.7
42.02 deg, d = 2.150 Å, rel. 11.2
46.35 deg, d = 1.959 Å, rel. 11.0
47.94 deg, d = 1.898 Å, rel. 37.3
48.09 deg, d = 1.892 Å, rel. 14.2

Structural model:
a = 7.7070 Å, b = 7.7070 Å, c = 7.7070 Å
α = 99.75°, β = 99.75°, γ = 99.75°
Sites, in units of the cell vectors:
Np 0.1222 0.7977 0.6325
Np 0.2023 0.3675 0.8778
Np 0.3675 0.8778 0.2023
Np 0.6325 0.1222 0.7977
Np 0.7977 0.6325 0.1222
Np 0.8778 0.2023 0.3675
Al 0.5000 0.5000 0.5000
S 0.0690 0.9207 0.3232
S 0.0793 0.6768 0.9310
S 0.1911 0.4392 0.5375
S 0.3232 0.0690 0.9207
S 0.4392 0.5375 0.1911
S 0.4625 0.8089 0.5608
S 0.5375 0.1911 0.4392
S 0.5608 0.4625 0.8089
S 0.6768 0.9310 0.0793
S 0.8089 0.5608 0.4625
S 0.9207 0.3232 0.0690
S 0.9310 0.0793 0.6768

---

Sr3LiTl: simulated powder diffractogram (Cu Ka), based on the PBE geometry in Alexandria.
Peak positions follow from Bragg's law for the DFT cell and can differ from measured ones.

Peak list (12 most intense, 2θ from 10° to 90°, by angle)
11.67 deg, d = 7.583 Å, rel. 100.0
22.00 deg, d = 4.040 Å, rel. 30.6
22.10 deg, d = 4.022 Å, rel. 28.7
22.31 deg, d = 3.985 Å, rel. 31.7
27.45 deg, d = 3.249 Å, rel. 45.6
27.62 deg, d = 3.230 Å, rel. 45.1
28.83 deg, d = 3.097 Å, rel. 27.2
30.10 deg, d = 2.969 Å, rel. 65.2
30.41 deg, d = 2.939 Å, rel. 46.8
31.62 deg, d = 2.830 Å, rel. 23.3
32.63 deg, d = 2.745 Å, rel. 23.4
33.05 deg, d = 2.710 Å, rel. 31.4

Structural model:
a = 7.5835 Å, b = 9.5486 Å, c = 10.8421 Å
α = 90.00°, β = 90.66°, γ = 90.00°
Sites, in units of the cell vectors:
Sr 0.2253 0.1878 0.3762
Sr 0.2253 0.3122 0.8762
Sr 0.2415 0.5461 0.5864
Sr 0.2415 0.9539 0.0864
Sr 0.2479 0.5522 0.1729
Sr 0.2479 0.9478 0.6729
Sr 0.7521 0.0522 0.3271
Sr 0.7521 0.4478 0.8271
Sr 0.7585 0.0461 0.9136
Sr 0.7585 0.4539 0.4136
Sr 0.7747 0.6878 0.1238
Sr 0.7747 0.8122 0.6238
Li 0.4383 0.7054 0.8796
Li 0.4383 0.7946 0.3796
Li 0.5617 0.2054 0.6204
Li 0.5617 0.2946 0.1204
Tl 0.0616 0.7062 0.8759
Tl 0.0616 0.7938 0.3759
Tl 0.9384 0.2062 0.6241
Tl 0.9384 0.2938 0.1241

---

Ca3GaSi2: simulated powder diffractogram (Cu Ka), based on the PBE geometry in Alexandria.
Peak positions follow from Bragg's law for the DFT cell and can differ from measured ones.

Peak list (12 most intense, 2θ from 10° to 90°, by angle)
11.39 deg, d = 7.772 Å, rel. 89.5
15.17 deg, d = 5.840 Å, rel. 34.3
30.46 deg, d = 2.935 Å, rel. 27.0
30.69 deg, d = 2.913 Å, rel. 86.5
31.19 deg, d = 2.867 Å, rel. 83.0
33.98 deg, d = 2.638 Å, rel. 95.6
35.06 deg, d = 2.559 Å, rel. 31.0
35.32 deg, d = 2.541 Å, rel. 64.9
37.87 deg, d = 2.376 Å, rel. 26.8
38.84 deg, d = 2.319 Å, rel. 100.0
45.41 deg, d = 1.997 Å, rel. 25.0
49.53 deg, d = 1.840 Å, rel. 24.9

Structural model:
a = 8.3850 Å, b = 9.5029 Å, c = 7.9882 Å
α = 90.00°, β = 112.05°, γ = 90.00°
Sites, in units of the cell vectors:
Ca 0.1232 0.1580 0.4450
Ca 0.1232 0.3420 0.9450
Ca 0.2206 0.5234 0.5392
Ca 0.2206 0.9766 0.0392
Ca 0.3408 0.6228 0.2224
Ca 0.3408 0.8772 0.7224
Ca 0.6592 0.1228 0.2776
Ca 0.6592 0.3772 0.7776
Ca 0.7794 0.0234 0.9608
Ca 0.7794 0.4766 0.4608
Ca 0.8768 0.6580 0.0550
Ca 0.8768 0.8420 0.5550
Ga 0.4592 0.6207 0.9223
Ga 0.4592 0.8793 0.4223
Ga 0.5408 0.1207 0.5777
Ga 0.5408 0.3793 0.0777
Si 0.1219 0.6506 0.8269
Si 0.1219 0.8494 0.3269
Si 0.4063 0.1807 0.8281
Si 0.4063 0.3193 0.3281
Si 0.5937 0.6807 0.6719
Si 0.5937 0.8193 0.1719
Si 0.8781 0.1506 0.6731
Si 0.8781 0.3494 0.1731

---

Y3Th2: simulated powder diffractogram (Cu Ka), based on the PBE geometry in Alexandria.
Peak positions follow from Bragg's law for the DFT cell and can differ from measured ones.

Peak list (12 most intense, 2θ from 10° to 90°, by angle)
29.07 deg, d = 3.072 Å, rel. 9.4
30.58 deg, d = 2.924 Å, rel. 100.0
30.72 deg, d = 2.910 Å, rel. 32.7
35.50 deg, d = 2.529 Å, rel. 67.1
50.98 deg, d = 1.791 Å, rel. 24.2
51.17 deg, d = 1.785 Å, rel. 23.6
60.68 deg, d = 1.526 Å, rel. 42.8
60.88 deg, d = 1.522 Å, rel. 13.9
63.65 deg, d = 1.462 Å, rel. 12.4
83.10 deg, d = 1.162 Å, rel. 11.9
85.79 deg, d = 1.133 Å, rel. 11.1
86.09 deg, d = 1.129 Å, rel. 10.7

Structural model:
a = 3.5829 Å, b = 3.5829 Å, c = 43.6513 Å
α = 90.00°, β = 90.00°, γ = 120.00°
Sites, in units of the cell vectors:
Y 0.0000 0.0000 0.0000
Y 0.0000 0.0000 0.4008
Y 0.0000 0.0000 0.5992
Y 0.3333 0.6667 0.0675
Y 0.3333 0.6667 0.2658
Y 0.3333 0.6667 0.6667
Y 0.6667 0.3333 0.3333
Y 0.6667 0.3333 0.7342
Y 0.6667 0.3333 0.9325
Th 0.0000 0.0000 0.1991
Th 0.0000 0.0000 0.8009
Th 0.3333 0.6667 0.4676
Th 0.3333 0.6667 0.8657
Th 0.6667 0.3333 0.1343
Th 0.6667 0.3333 0.5324

---

LaSm10Dy6: simulated powder diffractogram (Cu Ka), based on the PBE geometry in Alexandria.
Peak positions follow from Bragg's law for the DFT cell and can differ from measured ones.

Peak list (12 most intense, 2θ from 10° to 90°, by angle)
24.61 deg, d = 3.617 Å, rel. 8.6
30.71 deg, d = 2.911 Å, rel. 43.0
31.58 deg, d = 2.833 Å, rel. 79.6
31.74 deg, d = 2.819 Å, rel. 100.0
40.44 deg, d = 2.230 Å, rel. 12.1
45.38 deg, d = 1.998 Å, rel. 25.7
48.52 deg, d = 1.876 Å, rel. 13.0
55.90 deg, d = 1.645 Å, rel. 8.6
56.34 deg, d = 1.633 Å, rel. 17.9
56.64 deg, d = 1.625 Å, rel. 17.8
59.06 deg, d = 1.564 Å, rel. 10.2
62.30 deg, d = 1.490 Å, rel. 11.0

Structural model:
a = 9.8138 Å, b = 9.8138 Å, c = 6.8888 Å
α = 90.00°, β = 90.00°, γ = 120.00°
Sites, in units of the cell vectors:
La 0.0000 0.0000 0.0000
Sm 0.0000 0.2771 0.3186
Sm 0.0000 0.7229 0.6814
Sm 0.2771 0.0000 0.3186
Sm 0.2771 0.2771 0.6814
Sm 0.3333 0.6667 0.0000
Sm 0.3333 0.6667 0.5000
Sm 0.6667 0.3333 0.0000
Sm 0.6667 0.3333 0.5000
Sm 0.7229 0.0000 0.6814
Sm 0.7229 0.7229 0.3186
Dy 0.0000 0.3746 0.8052
Dy 0.0000 0.6254 0.1948
Dy 0.3746 0.0000 0.8052
Dy 0.3746 0.3746 0.1948
Dy 0.6254 0.0000 0.1948
Dy 0.6254 0.6254 0.8052

---

KTiIrO6: simulated powder diffractogram (Cu Ka), based on the PBE geometry in Alexandria.
Peak positions follow from Bragg's law for the DFT cell and can differ from measured ones.

Peak list (12 most intense, 2θ from 10° to 90°, by angle)
14.72 deg, d = 6.020 Å, rel. 74.4
19.60 deg, d = 4.530 Å, rel. 48.0
24.59 deg, d = 3.620 Å, rel. 100.0
29.68 deg, d = 3.010 Å, rel. 10.6
34.29 deg, d = 2.615 Å, rel. 26.3
35.82 deg, d = 2.507 Å, rel. 16.5
37.49 deg, d = 2.399 Å, rel. 27.7
42.65 deg, d = 2.120 Å, rel. 18.5
45.97 deg, d = 1.974 Å, rel. 40.2
49.69 deg, d = 1.835 Å, rel. 12.0
55.82 deg, d = 1.647 Å, rel. 19.9
57.92 deg, d = 1.592 Å, rel. 11.9

Structural model:
a = 5.2308 Å, b = 5.2308 Å, c = 6.0199 Å
α = 90.00°, β = 90.00°, γ = 120.00°
Sites, in units of the cell vectors:
K 0.0000 0.0000 0.0000
Ti 0.3333 0.6667 0.5000
Ir 0.6667 0.3333 0.5000
O 0.3939 0.0078 0.6804
O 0.3939 0.3862 0.3196
O 0.6138 0.0078 0.3196
O 0.6138 0.6061 0.6804
O 0.9922 0.3862 0.6804
O 0.9922 0.6061 0.3196